(1)
K4MnBr6: calculated X-ray powder pattern (Cu Ka), based on a GGA-PBE-relaxed structure.
Lines closer than 0.1° are merged.

Structure:
a b c (Å): 9.096 9.096 9.096
angles (deg): 89.83 89.83 89.83
Fractional coordinates of all 22 atoms:
K 0.128 0.750 0.372
K 0.250 0.250 0.250
K 0.250 0.628 0.872
K 0.372 0.128 0.750
K 0.628 0.872 0.250
K 0.750 0.372 0.128
K 0.750 0.750 0.750
K 0.872 0.250 0.628
Mn 0.000 0.000 0.000
Mn 0.500 0.500 0.500
Br 0.057 0.932 0.713
Br 0.068 0.287 0.943
Br 0.213 0.432 0.557
Br 0.287 0.943 0.068
Br 0.432 0.557 0.213
Br 0.443 0.787 0.568
Br 0.557 0.213 0.432
Br 0.568 0.443 0.787
Br 0.713 0.057 0.932
Br 0.787 0.568 0.443
Br 0.932 0.713 0.057
Br 0.943 0.068 0.287

Principal peaks in the range 10 to 90 degrees two-theta, low angle first:
- 2θ = 13.76°, d = 6.433 Å, intensity 49
- 2θ = 23.94°, d = 3.717 Å, intensity 33
- 2θ = 29.50°, d = 3.028 Å, intensity 47
- 2θ = 31.08°, d = 2.878 Å, intensity 63
- 2θ = 32.66°, d = 2.742 Å, intensity 100
- 2θ = 34.04°, d = 2.634 Å, intensity 20
- 2θ = 42.14°, d = 2.144 Å, intensity 19
- 2θ = 54.36°, d = 1.688 Å, intensity 19

(2)
Cu4S3N: calculated X-ray powder pattern (Cu Ka), based on a GGA-PBE-relaxed structure.
Lines closer than 0.1° are merged.

Structure:
a b c (Å): 3.879 3.879 9.118
angles (deg): 90.00 90.00 90.00
Fractional coordinates of all 8 atoms:
Cu 0.000 0.500 0.167
Cu 0.000 0.500 0.833
Cu 0.500 0.000 0.167
Cu 0.500 0.000 0.833
S 0.000 0.000 0.000
S 0.500 0.500 0.293
S 0.500 0.500 0.707
N 0.000 0.000 0.500

Principal peaks in the range 10 to 90 degrees two-theta, low angle first:
- 2θ = 19.47°, d = 4.559 Å, intensity 42
- 2θ = 29.39°, d = 3.039 Å, intensity 30
- 2θ = 30.25°, d = 2.954 Å, intensity 28
- 2θ = 32.65°, d = 2.743 Å, intensity 28
- 2θ = 34.14°, d = 2.627 Å, intensity 34
- 2θ = 44.49°, d = 2.036 Å, intensity 100
- 2θ = 46.84°, d = 1.939 Å, intensity 54
- 2θ = 85.33°, d = 1.137 Å, intensity 27